Diffraction record for EuCuW2O8. The X-ray powder pattern is simulated, not measured: it uses the PBE+U geometry in Alexandria and Cu Ka.
Intensities are scaled so that the largest is 100.

The 10 most intense peaks (10 to 80 degrees two-theta), low angle first:
two_theta  d [Å]  Rel. int.  h k l
14.34  6.175  44.9  1 0 -1
21.64  4.106  32.7  1 1 0
24.01  3.706  35.4  0 1 1
25.35  3.514  23.8  1 0 -2
27.28  3.269  42.5  1 -2 0
27.70  3.220  50.5  2 0 0
27.99  3.187  19.7  2 1 -1
28.91  3.088  100.0  0 2 -2
33.82  2.650  25.0  2 -2 0
35.06  2.559  29.0  2 2 -2

Structural model:
```
EuCuW2O8
1.0
7.3303 0.0000 0.0000
-0.2370 7.4268 0.0000
-3.2539 -3.3137 6.1850
Eu Cu W O
2 2 4 16
direct
0.1855 0.2798 0.4639
0.8145 0.7202 0.5361
0.2175 0.6770 0.9465
0.7825 0.3230 0.0535
0.2748 0.2998 0.0453
0.3529 0.8970 0.7095
0.6471 0.1030 0.2905
0.7252 0.7002 0.9547
0.0541 0.3113 0.1032
0.1492 0.9972 0.8078
0.1790 0.6406 0.5547
0.2034 0.3794 0.8308
0.2954 0.9919 0.5201
0.3851 0.1643 0.2530
0.4627 0.5353 0.2695
0.4766 0.8212 0.0031
0.5234 0.1788 0.9969
0.5373 0.4647 0.7305
0.6149 0.8357 0.7470
0.7046 0.0081 0.4799
0.7966 0.6206 0.1692
0.8210 0.3594 0.4453
0.8508 0.0028 0.1922
0.9459 0.6887 0.8968
```